1.
# MnGe4H24C8S10N2
Simulated powder diffractogram, λ = 1.5418 Å (Cu Kα). Input: a DFT-relaxed cell (PBE, the Materials Project).

Main lines, low angle first (10 to 90 degrees two-theta):
2theta  I_rel  index
11.0  100  1 0 1
17.8  49  1 1 2
21.4  21  2 1 1
22.0  25  2 0 2
27.6  58  2 1 3
31.7  14  3 1 2
38.4  16  3 1 4
45.9  12  2 3 5
47.8  21  1 3 6
51.1  11  5 2 1

Cell and atoms:
```
data_MnGe4H24C8S10N2
_space_group_name_H-M_alt 'I -4'
_space_group_IT_number 82
_cell_length_a 9.6944
_cell_length_b 9.6944
_cell_length_c 14.5614
_cell_angle_alpha 90.00
_cell_angle_beta 90.00
_cell_angle_gamma 90.00
loop_
_space_group_symop_operation_xyz
'x,y,z'
'y,-x,-z'
'-x,-y,z'
'-y,x,-z'
'x+1/2,y+1/2,z+1/2'
'y+1/2,-x+1/2,-z+1/2'
'-x+1/2,-y+1/2,z+1/2'
'-y+1/2,x+1/2,-z+1/2'
loop_
_atom_site_label
_atom_site_type_symbol
_atom_site_fract_x
_atom_site_fract_y
_atom_site_fract_z
Mn1 Mn 0.0000 0.0000 0.0000
Ge1 Ge 0.0688 0.3253 0.8385
H1 H 0.0011 0.1511 0.3973
H2 H 0.0441 0.1500 0.6016
H3 H 0.0517 0.3591 0.3542
H4 H 0.0629 0.7077 0.2664
H5 H 0.0897 0.3731 0.1481
H6 H 0.1289 0.8248 0.4852
C1 C 0.0375 0.6193 0.3103
C2 C 0.0756 0.8993 0.4407
S1 S 0.0000 0.5000 0.5690
S2 S 0.1107 0.7479 0.7525
S3 S 0.1565 0.1577 0.9208
N1 N 0.0000 0.0000 0.5000
N2 N 0.0000 0.5000 0.2500
```



2.
# Ho3Si6Pd20
Simulated powder diffractogram, λ = 1.5418 Å (Cu Kα). Input: a DFT-relaxed cell (PBE, the Materials Project).

Main lines, low angle first (10 to 90 degrees two-theta):
2theta  I_rel  index
32.5  23  4 2 0
35.7  37  4 2 2
38.0  100  3 3 3
41.5  33  4 4 0
43.5  22  5 3 1
44.1  10  6 0 0
49.1  12  6 2 2
64.2  30  6 6 0
65.7  15  5 5 5
75.7  21  8 4 4

Cell and atoms:
```
data_Ho3Si6Pd20
_space_group_name_H-M_alt 'F m -3 m'
_space_group_IT_number 225
_space_group_name_Hall '-F 4 2 3'
_cell_length_a 12.3091
_cell_length_b 12.3091
_cell_length_c 12.3091
_cell_angle_alpha 90.00
_cell_angle_beta 90.00
_cell_angle_gamma 90.00
loop_
_atom_site_label
_atom_site_type_symbol
_atom_site_fract_x
_atom_site_fract_y
_atom_site_fract_z
Ho1 Ho 0.0000 0.0000 0.0000
Ho2 Ho 0.2500 0.2500 0.2500
Si1 Si 0.0000 0.0000 0.2684
Pd1 Pd 0.0000 0.1725 0.1725
Pd2 Pd 0.1172 0.1172 0.3828
```



3.
# AcCe3
Simulated powder diffractogram, λ = 1.5418 Å (Cu Kα). Input: a DFT-relaxed cell (PBE, the Materials Project).

Main lines, low angle first (10 to 90 degrees two-theta):
2theta  I_rel  index
17.8  4  1 0 0
25.3  4  1 1 0
31.1  100  1 1 1
36.1  51  2 0 0
51.9  36  2 2 0
61.8  43  3 1 1
64.8  12  2 2 2
76.5  6  4 0 0
84.8  18  3 3 1
87.6  17  4 2 0

Cell and atoms:
```
data_AcCe3
_space_group_name_H-M_alt 'P m -3 m'
_space_group_IT_number 221
_space_group_name_Hall '-P 4 2 3'
_cell_length_a 4.9824
_cell_length_b 4.9824
_cell_length_c 4.9824
_cell_angle_alpha 90.00
_cell_angle_beta 90.00
_cell_angle_gamma 90.00
loop_
_atom_site_label
_atom_site_type_symbol
_atom_site_fract_x
_atom_site_fract_y
_atom_site_fract_z
Ac1 Ac 0.0000 0.0000 0.0000
Ce1 Ce 0.0000 0.5000 0.5000
```



4.
# Nb2P
Simulated powder diffractogram, λ = 1.5418 Å (Cu Kα). Input: a DFT-relaxed cell (PBE, the Materials Project).

Main lines, low angle first (10 to 90 degrees two-theta):
2theta  I_rel  index
33.2  33  4 1 1
33.8  23  2 1 3
36.6  49  0 1 4
38.0  64  4 1 3
38.2  22  5 1 2
39.6  100  6 1 0
40.1  30  2 0 6
41.8  21  6 1 2
42.0  20  8 0 2
52.9  35  0 2 0

Cell and atoms:
```
data_Nb2P
_space_group_name_H-M_alt 'P m m a'
_space_group_IT_number 51
_cell_length_a 18.1129
_cell_length_b 3.4645
_cell_length_c 13.9315
_cell_angle_alpha 90.00
_cell_angle_beta 90.00
_cell_angle_gamma 90.00
loop_
_space_group_symop_operation_xyz
'x,y,z'
'-x,-y,-z'
'-x+1/2,-y,z'
'x+1/2,y,-z'
'x+1/2,-y,-z'
'-x+1/2,y,z'
'-x,y,-z'
'x,-y,z'
loop_
_atom_site_label
_atom_site_type_symbol
_atom_site_fract_x
_atom_site_fract_y
_atom_site_fract_z
Nb1 Nb 0.0000 0.0000 0.0000
Nb2 Nb 0.0000 0.5000 0.5000
Nb3 Nb 0.0011 0.0000 0.3381
Nb4 Nb 0.0622 0.5000 0.1565
Nb5 Nb 0.1207 0.5000 0.9302
Nb6 Nb 0.1416 0.0000 0.4966
Nb7 Nb 0.1624 0.0000 0.7385
Nb8 Nb 0.1653 0.0000 0.2600
Nb9 Nb 0.2500 0.0000 0.9391
Nb10 Nb 0.2500 0.5000 0.1140
Nb11 Nb 0.2500 0.5000 0.3835
Nb12 Nb 0.2500 0.5000 0.6115
P1 P 0.0453 0.0000 0.8295
P2 P 0.1038 0.5000 0.3635
P3 P 0.1042 0.5000 0.6279
P4 P 0.1439 0.0000 0.0685
P5 P 0.2500 0.5000 0.8097
```



5.
# MgUB2O7
Simulated powder diffractogram, λ = 1.5418 Å (Cu Kα). Input: a DFT-relaxed cell (PBE, the Materials Project).

Main lines, low angle first (10 to 90 degrees two-theta):
2theta  I_rel  index
18.0  28  0 2 0
18.6  100  1 1 1
21.1  18  0 2 1
22.2  53  0 0 2
24.1  23  2 0 0
29.7  25  1 3 0
30.2  19  2 2 0
36.9  16  1 1 3
37.4  16  1 3 2
39.3  17  3 1 1

Cell and atoms:
```
data_MgUB2O7
_space_group_name_H-M_alt 'P b c m'
_space_group_IT_number 57
_cell_length_a 7.3940
_cell_length_b 9.8763
_cell_length_c 8.0230
_cell_angle_alpha 90.00
_cell_angle_beta 90.00
_cell_angle_gamma 90.00
loop_
_space_group_symop_operation_xyz
'x,y,z'
'-x,-y,-z'
'-x,-y,z+1/2'
'x,y,-z+1/2'
'x,-y+1/2,-z'
'-x,y+1/2,z'
'-x,y+1/2,-z+1/2'
'x,-y+1/2,z+1/2'
loop_
_atom_site_label
_atom_site_type_symbol
_atom_site_fract_x
_atom_site_fract_y
_atom_site_fract_z
Mg1 Mg 0.2344 0.0480 0.2500
U1 U 0.2243 0.0522 0.7500
B1 B 0.1282 0.7412 0.2500
B2 B 0.4684 0.7123 0.7500
O1 O 0.0201 0.6302 0.2500
O2 O 0.0725 0.6286 0.7500
O3 O 0.2283 0.0489 0.5208
O4 O 0.3154 0.7028 0.2500
O5 O 0.3609 0.2336 0.2500
O6 O 0.4570 0.5741 0.7500
```



6.
# Al3FeSi2
Simulated powder diffractogram, λ = 1.5418 Å (Cu Kα). Input: a DFT-relaxed cell (PBE, the Materials Project).

Main lines, low angle first (10 to 90 degrees two-theta):
2theta  I_rel  index
18.6  56  0 0 2
20.8  56  1 1 0
34.5  65  2 1 1
42.3  34  2 2 0
43.4  84  1 1 4
43.9  73  2 1 3
47.6  100  3 1 0
48.6  63  2 0 4
74.3  30  4 0 4
78.1  32  3 3 4

Cell and atoms:
```
data_Al3FeSi2
_space_group_name_H-M_alt 'I 4 c m'
_space_group_IT_number 108
_space_group_name_Hall 'I 4 -2c'
_cell_length_a 6.0418
_cell_length_b 6.0418
_cell_length_c 9.5551
_cell_angle_alpha 90.00
_cell_angle_beta 90.00
_cell_angle_gamma 90.00
loop_
_atom_site_label
_atom_site_type_symbol
_atom_site_fract_x
_atom_site_fract_y
_atom_site_fract_z
Al1 Al 0.0000 0.0000 0.0000
Al2 Al 0.1603 0.3397 0.1466
Fe1 Fe 0.0000 0.0000 0.2569
Si1 Si 0.1475 0.3525 0.8553
```